# SrAcGa2
Computed XRD peak list, CuKα. Input: DFT lattice parameters and positions (PBE).
Lines closer than 0.1° are merged.

Structure:
```
data_SrAcGa2
_symmetry_space_group_name_H-M 'P 1'
_symmetry_Int_Tables_number 1
_symmetry_space_group_name_Hall 'P 1'
_cell_length_a 7.863
_cell_length_b 7.863
_cell_length_c 7.863
_cell_angle_alpha 90.00
_cell_angle_beta 90.00
_cell_angle_gamma 90.00
loop_
_atom_site_label
_atom_site_fract_x
_atom_site_fract_y
_atom_site_fract_z
Sr1 0.000 0.000 0.000
Sr2 0.000 0.500 0.500
Sr3 0.500 0.000 0.500
Sr4 0.500 0.500 0.000
Ac1 0.000 0.000 0.500
Ac2 0.000 0.500 0.000
Ac3 0.500 0.000 0.000
Ac4 0.500 0.500 0.500
Ga1 0.250 0.250 0.250
Ga2 0.250 0.250 0.750
Ga3 0.250 0.750 0.250
Ga4 0.250 0.750 0.750
Ga5 0.750 0.250 0.250
Ga6 0.750 0.250 0.750
Ga7 0.750 0.750 0.250
Ga8 0.750 0.750 0.750
```

Principal peaks in the range 2θ from 10° to 80°, sorted by position:
2θ (°), intensity
19.55, 18
22.62, 15
32.20, 100
37.95, 11
46.18, 18
50.60, 5
52.01, 7
57.41, 39
67.37, 12
76.65, 17